Structure and computed X-ray diffraction stick pattern of Sm8ErCd6 (a DFT-relaxed cell (PBE, Alexandria); CuKα).

Structural model:
Lattice parameters (Å, degrees): 8.3416 8.3416 8.3416 66.01 66.01 66.01
Positions (direct):
Sm 0.0469 0.7181 0.3845
Sm 0.1656 0.1656 0.1656
Sm 0.2819 0.6155 0.9531
Sm 0.3845 0.0469 0.7181
Sm 0.6155 0.9531 0.2819
Sm 0.7181 0.3845 0.0469
Sm 0.8344 0.8344 0.8344
Sm 0.9531 0.2819 0.6155
Er 0.5000 0.5000 0.5000
Cd 0.1217 0.4504 0.7780
Cd 0.2220 0.8783 0.5496
Cd 0.4504 0.7780 0.1217
Cd 0.5496 0.2220 0.8783
Cd 0.7780 0.1217 0.4504
Cd 0.8783 0.5496 0.2220

Principal peaks in the range 15° ≤ 2θ ≤ 90°, by angle:
2θ 23.9, I 33
2θ 34.0, I 100
2θ 34.2, I 93
2θ 49.0, I 35
2θ 60.6, I 16
2θ 61.1, I 36
2θ 61.2, I 17
2θ 72.0, I 10
2θ 81.7, I 13
2θ 82.0, I 15